Computed X-ray diffraction stick pattern of TiNi2PdO6 for Cu Kα (weighted mean of Kα1 and Kα2), from a GGA+U-relaxed structure.
Neutral-atom scattering factors, no anomalous dispersion.

Atomic structure:
abc: 5.1126 5.1126 13.8790
angles: 90.00 90.00 120.00
Space group R3 (No. 146, hexagonal axes)
One atom of each set of equivalent atoms:
Ti1 0.0000 0.0000 0.0000
Ni1 0.0000 0.0000 0.2027
Ni2 0.0000 0.0000 0.7100
Pd1 0.0000 0.0000 0.5083
O1 0.0106 0.6470 0.2696
O2 0.0159 0.3103 0.1009

Top 10 peaks for 2θ from 10° to 80°, sorted by position:
(hkl)	Position (°2θ)	I_rel
1 0 1	21.1	18.6
0 1 2	23.8	48.7
1 0 4	32.8	100.0
1 1 0	35.1	95.4
1 1 3	40.3	25.1
0 2 4	48.8	39.4
2 -1 6	53.4	69.6
3 -1 4	61.5	34.1
3 0 0	63.0	36.9
1 0 10	71.2	15.7